# 1
Diffraction record for Tb3Ag2. The X-ray diffraction stick pattern is calculated, not measured: it uses a structure optimized by DFT (PBE) and Cu Kα.
Neutral-atom scattering factors, no anomalous dispersion.

Top 10 peaks for 2θ from 10° to 90°, sorted by position:
d_spacing	I (rel.)
2.922	8
2.671	100
2.562	57
2.438	14
1.812	20
1.565	9
1.500	35
1.471	9
1.155	8
1.146	9

Structure:
```
10
Lattice="3.6239 0.0000 0.0000 0.0000 3.6239 0.0000 0.0000 0.0000 19.7647" Properties=species:S:1:pos:R:3 pbc="T T T"
Tb 0.0000 0.0000 0.0000
Tb 0.0000 0.0000 3.7121
Tb 0.0000 0.0000 7.3944
Tb 0.0000 0.0000 12.3703
Tb 0.0000 0.0000 16.0526
Tb 1.8119 1.8119 9.8823
Ag 1.8119 1.8119 1.8483
Ag 1.8119 1.8119 5.5600
Ag 1.8119 1.8119 14.2046
Ag 1.8119 1.8119 17.9164
```

---

# 2
Diffraction record for Tb5Ag2. The X-ray diffraction stick pattern is calculated, not measured: it uses a structure optimized by DFT (PBE) and Cu Kα.
Neutral-atom scattering factors, no anomalous dispersion.

Top 10 peaks for 2θ from 10° to 90°, sorted by position:
d_spacing	I (rel.)
3.034	58
3.020	29
2.965	45
2.926	91
2.686	100
2.610	65
2.574	80
2.483	99
2.391	31
1.702	32

Structure:
```
14
Lattice="7.9948 -3.6272 0.0000 7.9948 3.6272 0.0000 -0.0950 0.0000 6.8106" Properties=species:S:1:pos:R:3 pbc="T T T"
Tb 7.9236 3.5930 5.1079
Tb 3.5318 0.1880 5.2112
Tb 3.5793 -0.1880 1.8059
Tb 6.4540 1.0346 3.3819
Tb 9.4882 1.0346 0.0234
Tb 6.4065 -1.0346 6.7871
Tb 9.4407 -1.0346 3.4287
Tb 12.3154 0.1880 5.0047
Tb 12.3629 -0.1880 1.5994
Tb 7.9711 -3.5930 1.7026
Ag 6.0926 1.8088 6.7276
Ag 9.7546 1.8088 3.4882
Ag 6.1401 -1.8088 3.3223
Ag 9.8021 -1.8088 0.0829
```